# 1
Structure and calculated powder X-ray diffraction pattern of Pm3Dy2TmS6 (a crystal structure in Alexandria, relaxed with GGA-PBE; Cu Kα, 1.54184 Å).

Structure:
```
data_Pm3Dy2TmS6
_chemical_formula_sum 'Pm6 Dy4 Tm2 S12'
_cell_length_a 6.8093
_cell_length_b 11.8354
_cell_length_c 6.9179
_cell_angle_alpha 90.00
_cell_angle_beta 109.21
_cell_angle_gamma 90.00
_space_group_name_H-M_alt 'C 1 2/m 1'
_space_group_IT_number 12
loop_
_space_group_symop_operation_xyz
'x,y,z'
'-x,-y,-z'
'-x,y,-z'
'x,-y,z'
'x+1/2,y+1/2,z'
'-x+1/2,-y+1/2,-z'
'-x+1/2,y+1/2,-z'
'x+1/2,-y+1/2,z'
loop_
_atom_site_label
_atom_site_fract_x
_atom_site_fract_y
_atom_site_fract_z
_atom_site_occupancy
Pm1 0.0000 0.0000 0.0000 1
Pm2 0.0000 0.3315 0.0000 1
Dy1 0.0000 0.1668 0.5000 1
Tm1 0.0000 0.5000 0.5000 1
S1 0.2430 0.3352 0.7351 1
S2 0.2493 0.0000 0.7366 1
```

Largest 6 diffraction maxima, by angle, 2θ from 15° to 90°:
d [Å]  I (rel.)
3.266  21
3.221  59
2.799  100
1.990  36
1.967  24
1.687  13


# 2
Structure and calculated powder X-ray diffraction pattern of PmDy2US8 (a crystal structure in Alexandria, relaxed with GGA-PBE; Cu Kα, 1.54184 Å).

Structure:
```
data_PmDy2US8
_chemical_formula_sum 'Pm1 Dy2 U1 S8'
_cell_length_a 5.9490
_cell_length_b 8.2423
_cell_length_c 6.3059
_cell_angle_alpha 90.00
_cell_angle_beta 90.64
_cell_angle_gamma 90.00
_space_group_name_H-M_alt 'P 1 2/m 1'
_space_group_IT_number 10
loop_
_space_group_symop_operation_xyz
'x,y,z'
'-x,-y,-z'
'-x,y,-z'
'x,-y,z'
loop_
_atom_site_label
_atom_site_fract_x
_atom_site_fract_y
_atom_site_fract_z
_atom_site_occupancy
Pm1 0.0000 0.0000 0.0000 1
Dy1 0.5000 0.2549 0.5000 1
U1 0.0000 0.5000 0.0000 1
S1 0.2144 0.0000 0.4182 1
S2 0.2442 0.5000 0.3400 1
S3 0.2488 0.2695 0.8665 1
```

Largest 6 diffraction maxima, by angle, 2θ from 15° to 90°:
d [Å]  I (rel.)
4.351  81
4.303  85
3.450  53
3.388  100
2.259  52
2.246  46